Starting from DFT lattice parameters and positions (GGA-PBE), the PXRD pattern of Na4MgSnAu2 was computed for Cu Ka.
Lines closer than 0.1° are merged.

Cell and atoms:
Cell lengths 4.9652, 4.9652, 6.9493 Å; angles 90.00, 90.00, 90.00 degrees
Space group P-4m2 (No. 115)
Asymmetric unit:
Na1 0.0000 0.0000 0.0000 (multiplicity 1)
Na2 0.0000 0.5000 0.7465 (multiplicity 2)
Na3 0.5000 0.5000 0.5000 (multiplicity 1)
Mg1 0.0000 0.0000 0.5000 (multiplicity 1)
Sn1 0.5000 0.5000 0.0000 (multiplicity 1)
Au1 0.0000 0.5000 0.2578 (multiplicity 2)

Peak list (10 most intense, 2θ from 5° to 70°, sorted by position)
index	Position (°2θ)	I/Imax
1 0 1	22.00	100
1 1 0	25.37	17
2 0 0	36.18	46
1 1 2	36.38	91
2 1 1	42.75	37
1 0 3	43.09	18
2 2 0	52.10	16
2 1 3	57.49	16
3 1 2	65.20	33
2 0 4	65.59	16

***

Starting from DFT lattice parameters and positions (GGA-PBE), the PXRD pattern of NdMgAuO3 was computed for Cu Ka.
Lines closer than 0.1° are merged.

Cell and atoms:
Cell lengths 3.4458, 16.2277, 7.6892 Å; angles 90.00, 90.00, 90.00 degrees
Space group Cmcm (No. 63)
Asymmetric unit:
Nd1 0.0000 0.0000 0.0000 (multiplicity 4)
Mg1 0.0000 0.2345 0.2500 (multiplicity 4)
Au1 0.0000 0.4066 0.2500 (multiplicity 4)
O1 0.0000 0.1209 0.1527 (multiplicity 8)
O2 0.0000 0.2082 0.7500 (multiplicity 4)

Peak list (10 most intense, 2θ from 5° to 70°, sorted by position)
index	Position (°2θ)	I/Imax
0 2 0	10.90	100
0 2 1	15.88	65
1 1 1	28.92	26
0 4 2	32.07	35
1 3 1	32.95	39
1 1 2	35.42	68
1 5 0	38.09	37
0 6 2	40.79	33
0 0 4	47.28	33
2 6 2	69.10	22